Computed powder diffraction line list
Compound: UBr4
Radiation: copper Kα
Structure: the GGA-PBE geometry in the Materials Project

Atomic structure:
Cell: 11.3461 8.8895 7.6536 Å, 90.00 93.21 90.00°
Space group C2/m (No. 12)
Asymmetric unit:
U (0.1960, 0.0000, 0.4422) [4 per cell]
Br (0.0501, 0.0000, 0.7320) [4 per cell]
Br (0.1406, 0.3091, 0.3488) [8 per cell]
Br (0.1772, 0.5000, 0.8392) [4 per cell]

Most intense lines, 10° ≤ 2θ ≤ 90°, in order of rising 2θ:
- hkl 0 0 1, d 7.642, 2θ 11.58, rel. 100
- hkl 2 0 0, d 5.664, 2θ 15.65, rel. 25
- hkl 1 1 1, d 5.072, 2θ 17.48, rel. 25
- hkl 2 0 -1, d 4.678, 2θ 18.97, rel. 23
- hkl 0 2 0, d 4.444, 2θ 19.98, rel. 31
- hkl 2 0 -2, d 3.253, 2θ 27.42, rel. 40
- hkl 2 2 1, d 3.139, 2θ 28.44, rel. 24
- hkl 3 1 1, d 3.104, 2θ 28.76, rel. 37
- hkl 1 3 1, d 2.672, 2θ 33.54, rel. 29
- hkl 3 3 1, d 2.209, 2θ 40.85, rel. 26